# 1
This entry pairs a crystal structure of ZnCrGe2O6 with its simulated powder diffractogram. Radiation: Cu Kα (weighted mean of Kα1 and Kα2). Structure: DFT lattice parameters and positions (GGA+U).

Principal peaks in the range 2θ from 10° to 90°, sorted by position:
d 3.555, rel. 37
d 3.493, rel. 73
d 3.350, rel. 32
d 3.288, rel. 54
d 3.122, rel. 78
d 3.094, rel. 64
d 3.019, rel. 77
d 2.809, rel. 59
d 2.707, rel. 45
d 2.568, rel. 100

Cell and atoms:
```
data_ZnCrGe2O6
_chemical_formula_sum 'Zn4 Cr4 Ge8 O24'
_symmetry_space_group_name_H-M 'P 1'
_symmetry_Int_Tables_number 1
_symmetry_space_group_name_Hall 'P 1'
_cell_length_a 6.8627
_cell_length_b 7.8686
_cell_length_c 10.0582
_cell_angle_alpha 106.63
_cell_angle_beta 98.86
_cell_angle_gamma 95.86
loop_
_atom_site_label
_atom_site_type_symbol
_atom_site_fract_x
_atom_site_fract_y
_atom_site_fract_z
Zn1 Zn 0.0000 0.0000 0.0000
Zn2 Zn 0.0010 0.4992 0.5006
Zn3 Zn 0.4972 0.9881 0.5124
Zn4 Zn 0.4985 0.4886 0.0129
Cr1 Cr 0.6542 0.1697 0.8318
Cr2 Cr 0.6544 0.6689 0.3325
Cr3 Cr 0.8437 0.3183 0.1810
Cr4 Cr 0.8441 0.8191 0.6805
Ge1 Ge 0.1380 0.7249 0.2728
Ge2 Ge 0.1387 0.2256 0.7731
Ge3 Ge 0.3596 0.2626 0.2400
Ge4 Ge 0.3603 0.7628 0.7401
Ge5 Ge 0.5373 0.9209 0.0735
Ge6 Ge 0.5378 0.4212 0.5730
Ge7 Ge 0.9607 0.0665 0.4402
Ge8 Ge 0.9608 0.5675 0.9392
O1 O 0.0566 0.9374 0.2935
O2 O 0.0578 0.4383 0.7930
O3 O 0.1224 0.2321 0.1342
O4 O 0.1231 0.7317 0.6342
O5 O 0.1599 0.6296 0.0925
O6 O 0.1607 0.1285 0.5930
O7 O 0.3377 0.3594 0.4201
O8 O 0.3382 0.8585 0.9203
O9 O 0.3753 0.7558 0.3785
O10 O 0.3757 0.2564 0.8790
O11 O 0.4402 0.0499 0.2197
O12 O 0.4419 0.5503 0.7197
O13 O 0.5474 0.4069 0.2003
O14 O 0.5469 0.9078 0.7002
O15 O 0.6053 0.2335 0.6160
O16 O 0.6057 0.7338 0.1174
O17 O 0.7253 0.0697 0.0435
O18 O 0.7256 0.5701 0.5429
O19 O 0.7728 0.4187 0.9691
O20 O 0.7728 0.9176 0.4704
O21 O 0.8926 0.2540 0.3970
O22 O 0.8929 0.7547 0.8955
O23 O 0.9509 0.0813 0.8127
O24 O 0.9513 0.5800 0.3128
```



# 2
This entry pairs a crystal structure of MgFe4Cu2O8 with its simulated powder diffractogram. Radiation: Cu Kα (weighted mean of Kα1 and Kα2). Structure: DFT lattice parameters and positions (GGA+U).

Principal peaks in the range 2θ from 10° to 90°, sorted by position:
d 5.192, rel. 36
d 3.245, rel. 24
d 3.099, rel. 20
d 2.728, rel. 100
d 2.661, rel. 38
d 2.636, rel. 36
d 2.520, rel. 34
d 2.164, rel. 43
d 2.036, rel. 29
d 1.709, rel. 35

Cell and atoms:
```
data_MgFe4Cu2O8
_chemical_formula_sum 'Mg1 Fe4 Cu2 O8'
_symmetry_space_group_name_H-M 'P 1'
_symmetry_Int_Tables_number 1
_symmetry_space_group_name_Hall 'P 1'
_cell_length_a 6.2307
_cell_length_b 6.2307
_cell_length_c 6.1989
_cell_angle_alpha 119.77
_cell_angle_beta 119.77
_cell_angle_gamma 87.97
loop_
_atom_site_label
_atom_site_type_symbol
_atom_site_fract_x
_atom_site_fract_y
_atom_site_fract_z
Mg1 Mg 0.0000 0.0000 0.0000
Fe1 Fe 0.0303 0.5085 0.2694
Fe2 Fe 0.4915 0.9697 0.7306
Fe3 Fe 0.5449 0.4551 0.2549
Fe4 Fe 0.5449 0.4551 0.7451
Cu1 Cu 0.2883 0.7117 0.0000
Cu2 Cu 0.8417 0.1583 0.5000
O1 O 0.2764 0.7241 0.2900
O2 O 0.2759 0.7236 0.7100
O3 O 0.3069 0.2862 0.2968
O4 O 0.3378 0.2534 0.7959
O5 O 0.7138 0.6931 0.7032
O6 O 0.7466 0.6622 0.2041
O7 O 0.7920 0.2076 0.2039
O8 O 0.7924 0.2080 0.7961
```